# Ac3B2N4
Theoretical powder XRD pattern, Cu Kα. Input: a crystal structure in Alexandria, relaxed with PBE.
Kinematic intensities with the Lorentz-polarization factor, no thermal factor.

Principal peaks in the range 2θ = 10–90°, by angle:
2θ (°), I/Imax
26.93, 38
27.17, 75
31.43, 100
36.90, 30
46.68, 24
50.48, 25
54.72, 24
56.01, 23

Crystal structure
Unit cell a=6.832 b=6.832 c=6.832 alpha=147.76 beta=122.03 gamma=67.91
Element x y z (fractional)
Ac1 0.000 0.000 0.000
Ac2 0.300 0.800 0.500
Ac3 0.700 0.200 0.500
B1 0.360 0.500 0.860
B2 0.640 0.500 0.140
N1 0.135 0.385 0.749
N2 0.364 0.615 0.749
N3 0.636 0.385 0.251
N4 0.865 0.615 0.251

***

# Ac8Ga3PI4
Theoretical powder XRD pattern, Cu Kα. Input: a crystal structure in Alexandria, relaxed with PBE.
Kinematic intensities with the Lorentz-polarization factor, no thermal factor.

Principal peaks in the range 2θ = 10–90°, by angle:
2θ (°), I/Imax
23.32, 22
26.65, 100
28.91, 16
37.28, 30
38.79, 41
47.69, 21
52.13, 14
63.09, 18

Crystal structure
Unit cell a=9.661 b=9.661 c=9.661 alpha=57.44 beta=57.44 gamma=57.44
Element x y z (fractional)
Ac1 0.236 0.236 0.236
Ac2 0.238 0.733 0.733
Ac3 0.267 0.267 0.762
Ac4 0.267 0.762 0.267
Ac5 0.733 0.238 0.733
Ac6 0.733 0.733 0.238
Ac7 0.762 0.267 0.267
Ac8 0.764 0.764 0.764
Ga1 0.000 0.000 0.500
Ga2 0.000 0.500 0.000
Ga3 0.500 0.000 0.000
P1 0.500 0.500 0.500
I1 0.000 0.000 0.000
I2 0.000 0.500 0.500
I3 0.500 0.000 0.500
I4 0.500 0.500 0.000

***

# CsSc3F10
Theoretical powder XRD pattern, Cu Kα. Input: a crystal structure in Alexandria, relaxed with PBE.
Kinematic intensities with the Lorentz-polarization factor, no thermal factor.

Principal peaks in the range 2θ = 10–90°, by angle:
2θ (°), I/Imax
24.63, 44
25.25, 47
25.74, 53
26.61, 100
27.85, 71
35.92, 37
44.18, 38
45.92, 47

Crystal structure
Unit cell a=8.199 b=7.655 c=6.923 alpha=90.00 beta=90.00 gamma=90.00
Element x y z (fractional)
Cs1 0.250 0.000 0.001
Cs2 0.750 0.000 0.999
Sc1 0.000 0.231 0.500
Sc2 0.000 0.500 0.000
Sc3 0.000 0.769 0.500
Sc4 0.500 0.231 0.500
Sc5 0.500 0.500 0.000
Sc6 0.500 0.769 0.500
F1 0.000 0.500 0.500
F2 0.001 0.000 0.671
F3 0.004 0.306 0.800
F4 0.004 0.694 0.800
F5 0.250 0.225 0.496
F6 0.250 0.500 0.006
F7 0.250 0.775 0.496
F8 0.496 0.306 0.800
F9 0.496 0.694 0.800
F10 0.499 0.000 0.671
F11 0.500 0.500 0.500
F12 0.501 0.000 0.329
F13 0.504 0.306 0.200
F14 0.504 0.694 0.200
F15 0.750 0.225 0.504
F16 0.750 0.500 0.994
F17 0.750 0.775 0.504
F18 0.996 0.306 0.200
F19 0.996 0.694 0.200
F20 0.999 0.000 0.329

***

# CsSc2AgCl8
Theoretical powder XRD pattern, Cu Kα. Input: a crystal structure in Alexandria, relaxed with PBE.
Kinematic intensities with the Lorentz-polarization factor, no thermal factor.

Principal peaks in the range 2θ = 10–90°, by angle:
2θ (°), I/Imax
19.38, 100
26.19, 44
27.78, 39
28.85, 28
32.13, 61
32.79, 28
45.97, 42
46.20, 38

Crystal structure
Unit cell a=10.462 b=10.462 c=10.462 alpha=37.97 beta=37.97 gamma=37.97
Element x y z (fractional)
Cs1 0.000 0.000 0.000
Sc1 0.243 0.243 0.243
Sc2 0.757 0.757 0.757
Ag1 0.500 0.500 0.500
Cl1 0.112 0.440 0.780
Cl2 0.220 0.888 0.560
Cl3 0.324 0.324 0.324
Cl4 0.440 0.780 0.112
Cl5 0.560 0.220 0.888
Cl6 0.676 0.676 0.676
Cl7 0.780 0.112 0.440
Cl8 0.888 0.560 0.220

***

# Tb5Pm2Sm4
Theoretical powder XRD pattern, Cu Kα. Input: a crystal structure in Alexandria, relaxed with PBE.
Kinematic intensities with the Lorentz-polarization factor, no thermal factor.

Principal peaks in the range 2θ = 10–90°, by angle:
2θ (°), I/Imax
30.25, 86
30.44, 100
30.65, 97
32.08, 83
36.73, 51
56.04, 31
61.95, 27
62.08, 28

Crystal structure
Unit cell a=12.167 b=12.167 c=8.821 alpha=96.67 beta=96.67 gamma=16.46
Element x y z (fractional)
Tb1 0.000 0.000 0.000
Tb2 0.268 0.268 0.173
Tb3 0.358 0.358 0.883
Tb4 0.642 0.642 0.117
Tb5 0.732 0.732 0.827
Pm1 0.409 0.409 0.262
Pm2 0.591 0.591 0.738
Sm1 0.178 0.178 0.471
Sm2 0.454 0.454 0.641
Sm3 0.546 0.546 0.359
Sm4 0.822 0.822 0.529

***

# Ta3V8Os
Theoretical powder XRD pattern, Cu Kα. Input: a crystal structure in Alexandria, relaxed with PBE.
Kinematic intensities with the Lorentz-polarization factor, no thermal factor.

Principal peaks in the range 2θ = 10–90°, by angle:
2θ (°), I/Imax
21.78, 45
35.88, 55
36.00, 54
42.38, 100
42.50, 33
64.53, 30
69.00, 31
76.05, 14

Crystal structure
Unit cell a=8.634 b=8.634 c=8.634 alpha=33.71 beta=33.71 gamma=33.71
Element x y z (fractional)
Ta1 0.000 0.000 0.000
Ta2 0.125 0.125 0.125
Ta3 0.625 0.625 0.625
V1 0.061 0.061 0.561
V2 0.061 0.561 0.061
V3 0.064 0.563 0.563
V4 0.312 0.312 0.312
V5 0.561 0.061 0.061
V6 0.563 0.064 0.563
V7 0.563 0.563 0.064
V8 0.813 0.813 0.813
Os1 0.500 0.500 0.500

***

# BeC2O
Theoretical powder XRD pattern, Cu Kα. Input: a crystal structure in Alexandria, relaxed with PBE.
Kinematic intensities with the Lorentz-polarization factor, no thermal factor.

Principal peaks in the range 2θ = 10–90°, by angle:
2θ (°), I/Imax
25.08, 27
39.44, 100
41.47, 4
52.65, 3
66.30, 14
67.16, 27
79.97, 15
81.57, 7

Crystal structure
Unit cell a=4.811 b=4.811 c=4.811 alpha=131.04 beta=131.04 gamma=71.75
Element x y z (fractional)
Be1 0.000 0.000 0.000
Be2 0.750 0.250 0.500
C1 0.134 0.625 0.009
C2 0.375 0.384 0.509
C3 0.616 0.125 0.991
C4 0.875 0.866 0.491
O1 0.250 0.750 0.500
O2 0.500 0.500 0.000

***

# Tl2CrAsSe4
Theoretical powder XRD pattern, Cu Kα. Input: a crystal structure in Alexandria, relaxed with PBE.
Kinematic intensities with the Lorentz-polarization factor, no thermal factor.

Principal peaks in the range 2θ = 10–90°, by angle:
2θ (°), I/Imax
26.13, 9
30.73, 100
33.81, 10
42.95, 11
44.03, 45
45.01, 12
53.76, 11
55.51, 12

Crystal structure
Unit cell a=8.231 b=8.231 c=8.231 alpha=121.40 beta=118.45 gamma=90.15
Element x y z (fractional)
Tl1 0.000 0.000 0.000
Tl2 0.500 0.000 0.000
Tl3 0.500 0.000 0.500
Tl4 0.500 0.500 0.500
Cr1 0.000 0.000 0.500
Cr2 0.000 0.500 0.000
As1 0.000 0.500 0.500
As2 0.500 0.500 0.000
Se1 0.189 0.737 0.452
Se2 0.215 0.263 0.952
Se3 0.225 0.252 0.527
Se4 0.225 0.699 0.973
Se5 0.775 0.301 0.027
Se6 0.775 0.748 0.473
Se7 0.785 0.737 0.048
Se8 0.811 0.263 0.548

***

# Ta4BP
Theoretical powder XRD pattern, Cu Kα. Input: a crystal structure in Alexandria, relaxed with PBE.
Kinematic intensities with the Lorentz-polarization factor, no thermal factor.

Principal peaks in the range 2θ = 10–90°, by angle:
2θ (°), I/Imax
30.35, 17
35.31, 26
38.49, 100
47.24, 15
48.90, 13
65.50, 21
68.19, 18
78.50, 12

Crystal structure
Unit cell a=5.890 b=5.890 c=5.084 alpha=90.00 beta=90.00 gamma=90.00
Element x y z (fractional)
Ta1 0.155 0.321 0.000
Ta2 0.155 0.679 0.500
Ta3 0.321 0.155 0.500
Ta4 0.321 0.845 0.000
Ta5 0.679 0.155 0.000
Ta6 0.679 0.845 0.500
Ta7 0.845 0.321 0.500
Ta8 0.845 0.679 0.000
B1 0.000 0.000 0.250
B2 0.000 0.000 0.750
P1 0.500 0.500 0.250
P2 0.500 0.500 0.750

***

# Nd6Er4Pu
Theoretical powder XRD pattern, Cu Kα. Input: a crystal structure in Alexandria, relaxed with PBE.
Kinematic intensities with the Lorentz-polarization factor, no thermal factor.

Principal peaks in the range 2θ = 10–90°, by angle:
2θ (°), I/Imax
26.26, 66
29.34, 85
30.67, 93
31.21, 54
31.48, 100
34.24, 76
35.13, 74
51.21, 48

Crystal structure
Unit cell a=11.794 b=11.794 c=17.737 alpha=90.00 beta=90.00 gamma=162.61
Element x y z (fractional)
Nd1 0.000 0.000 0.000
Nd2 0.000 0.000 0.500
Nd3 0.246 0.754 0.750
Nd4 0.258 0.742 0.083
Nd5 0.258 0.742 0.417
Nd6 0.485 0.515 0.662
Nd7 0.485 0.515 0.838
Nd8 0.515 0.485 0.162
Nd9 0.515 0.485 0.338
Nd10 0.742 0.258 0.583
Nd11 0.742 0.258 0.917
Nd12 0.754 0.246 0.250
Er1 0.116 0.884 0.640
Er2 0.116 0.884 0.860
Er3 0.371 0.629 0.542
Er4 0.371 0.629 0.958
Er5 0.629 0.371 0.042
Er6 0.629 0.371 0.458
Er7 0.884 0.116 0.140
Er8 0.884 0.116 0.360
Pu1 0.130 0.870 0.250
Pu2 0.870 0.130 0.750

***

# Sm2Fe20Si2C
Theoretical powder XRD pattern, Cu Kα. Input: a crystal structure in Alexandria, relaxed with PBE.
Kinematic intensities with the Lorentz-polarization factor, no thermal factor.

Principal peaks in the range 2θ = 10–90°, by angle:
2θ (°), I/Imax
35.06, 34
39.67, 71
39.78, 47
39.94, 68
40.09, 54
40.19, 100
40.34, 68
43.62, 33

Crystal structure
Unit cell a=6.374 b=7.752 c=7.802 alpha=79.92 beta=66.13 gamma=66.45
Element x y z (fractional)
Sm1 0.129 0.247 0.247
Sm2 0.871 0.753 0.753
Fe1 0.000 0.000 0.000
Fe2 0.057 0.076 0.662
Fe3 0.066 0.675 0.084
Fe4 0.223 0.582 0.336
Fe5 0.238 0.324 0.577
Fe6 0.315 0.827 0.420
Fe7 0.322 0.419 0.824
Fe8 0.354 0.077 0.820
Fe9 0.363 0.838 0.080
Fe10 0.379 0.751 0.748
Fe11 0.500 0.500 0.000
Fe12 0.621 0.249 0.252
Fe13 0.637 0.162 0.920
Fe14 0.646 0.923 0.180
Fe15 0.678 0.581 0.176
Fe16 0.685 0.173 0.580
Fe17 0.762 0.676 0.423
Fe18 0.777 0.418 0.664
Fe19 0.934 0.325 0.916
Fe20 0.943 0.924 0.338
Si1 0.500 0.000 0.500
Si2 0.500 0.500 0.500
C1 0.000 0.500 0.000

***

# Tl4In4Bi3
Theoretical powder XRD pattern, Cu Kα. Input: a crystal structure in Alexandria, relaxed with PBE.
Kinematic intensities with the Lorentz-polarization factor, no thermal factor.

Principal peaks in the range 2θ = 10–90°, by angle:
2θ (°), I/Imax
31.23, 100
31.53, 44
31.79, 51
33.77, 36
35.02, 39
40.33, 23
48.85, 13
50.03, 12

Crystal structure
Unit cell a=3.485 b=5.125 c=18.931 alpha=96.72 beta=94.41 gamma=90.84
Element x y z (fractional)
Tl1 0.040 0.454 0.406
Tl2 0.261 0.180 0.863
Tl3 0.739 0.820 0.137
Tl4 0.960 0.546 0.594
In1 0.241 0.272 0.042
In2 0.429 0.092 0.682
In3 0.571 0.908 0.318
In4 0.759 0.728 0.958
Bi1 0.250 0.362 0.225
Bi2 0.500 0.000 0.500
Bi3 0.750 0.638 0.775